Mn3VNi12: computed XRD peak list (Cu Kα X-rays), based on a crystal structure in Alexandria, relaxed with PBE.

Atomic structure:
```
data_Mn3VNi12
_cell_length_a 3.561
_cell_length_b 3.561
_cell_length_c 14.290
_cell_angle_alpha 90.00
_cell_angle_beta 90.00
_cell_angle_gamma 90.00
_symmetry_space_group_name_H-M 'P 4/m m m'
_symmetry_Int_Tables_number 123
_symmetry_space_group_name_Hall '-P 4 2'
loop_
_atom_site_label
_atom_site_type_symbol
_atom_site_fract_x
_atom_site_fract_y
_atom_site_fract_z
Mn1 Mn 0.000 0.000 0.000
Mn2 Mn 0.000 0.000 0.249
V1 V 0.000 0.000 0.500
Ni1 Ni 0.000 0.500 0.125
Ni2 Ni 0.000 0.500 0.378
Ni3 Ni 0.500 0.500 0.000
Ni4 Ni 0.500 0.500 0.252
Ni5 Ni 0.500 0.500 0.500
```

Principal peaks in the range 10 to 90 degrees two-theta, in order of rising 2θ:
2theta, I/Imax, index
24.98, 6, 1 0 0
43.99, 1000, 1 1 4
51.14, 155, 0 0 8
51.31, 309, 2 0 0
75.37, 176, 2 0 8
75.51, 89, 2 2 0

---

MnV7Ni12: computed XRD peak list (Cu Kα X-rays), based on a crystal structure in Alexandria, relaxed with PBE.

Atomic structure:
```
data_MnV7Ni12
_cell_length_a 12.0832
_cell_length_b 12.0832
_cell_length_c 5.8419
_cell_angle_alpha 90.00
_cell_angle_beta 90.00
_cell_angle_gamma 120.00
_symmetry_space_group_name_H-M 'R -3 m'
_symmetry_Int_Tables_number 166
_symmetry_space_group_name_Hall '-R 3 2"'
loop_
_atom_site_label
_atom_site_type_symbol
_atom_site_fract_x
_atom_site_fract_y
_atom_site_fract_z
Mn1 Mn 0.0000 0.0000 0.0000
V1 V 0.0000 0.0000 0.5000
V2 V 0.1097 0.2195 0.8033
Ni1 Ni 0.0000 0.2740 0.5000
Ni2 Ni 0.1090 0.5545 0.8844
```

Principal peaks in the range 10 to 90 degrees two-theta, in order of rising 2θ:
2theta, I/Imax, index
37.67, 455, 4 0 1
43.98, 473, 3 1 2
45.02, 1000, 3 3 0
46.62, 871, 0 0 3
49.13, 414, 2 3 2
66.82, 282, 3 3 3

---

Mn2VNi6: computed XRD peak list (Cu Kα X-rays), based on a crystal structure in Alexandria, relaxed with PBE.

Atomic structure:
```
data_Mn2VNi6
_cell_length_a 11.999
_cell_length_b 6.933
_cell_length_c 2.390
_cell_angle_alpha 90.00
_cell_angle_beta 90.04
_cell_angle_gamma 90.00
_symmetry_space_group_name_H-M 'C 1 2/m 1'
_symmetry_Int_Tables_number 12
loop_
_symmetry_equiv_pos_as_xyz
'x,y,z'
'-x,-y,-z'
'-x,y,-z'
'x,-y,z'
'x+1/2,y+1/2,z'
'-x+1/2,-y+1/2,-z'
'-x+1/2,y+1/2,-z'
'x+1/2,-y+1/2,z'
loop_
_atom_site_label
_atom_site_type_symbol
_atom_site_fract_x
_atom_site_fract_y
_atom_site_fract_z
Mn1 Mn 0.167 0.000 0.000
V1 V 0.000 0.500 0.000
Ni1 Ni 0.000 0.165 0.500
Ni2 Ni 0.168 0.333 0.497
```

Principal peaks in the range 10 to 90 degrees two-theta, in order of rising 2θ:
2theta, I/Imax, index
45.33, 1000, 6 0 0
46.14, 788, 3 1 1
60.34, 142, 6 0 1
66.68, 237, 0 4 1
83.74, 144, 9 3 0
84.33, 235, 6 4 1

---

MnV6Ni8: computed XRD peak list (Cu Kα X-rays), based on a crystal structure in Alexandria, relaxed with PBE.

Atomic structure:
```
data_MnV6Ni8
_cell_length_a 9.2647
_cell_length_b 9.2647
_cell_length_c 2.5661
_cell_angle_alpha 90.00
_cell_angle_beta 90.00
_cell_angle_gamma 120.00
_symmetry_space_group_name_H-M 'P -3'
_symmetry_Int_Tables_number 147
loop_
_symmetry_equiv_pos_as_xyz
'x,y,z'
'-x,-y,-z'
'-y,x-y,z'
'y,-x+y,-z'
'-x+y,-x,z'
'x-y,x,-z'
loop_
_atom_site_label
_atom_site_type_symbol
_atom_site_fract_x
_atom_site_fract_y
_atom_site_fract_z
Mn1 Mn 0.0000 0.0000 0.0000
V1 V 0.0954 0.4681 0.2339
Ni1 Ni 0.0772 0.7966 0.2844
Ni2 Ni 0.3333 0.6667 0.7330
```

Principal peaks in the range 10 to 90 degrees two-theta, in order of rising 2θ:
2theta, I/Imax, index
40.54, 884, 3 1 0
41.79, 904, 0 2 1
46.35, 1000, 2 1 1
49.21, 254, 0 3 1
49.52, 359, 3 2 0
52.25, 403, 4 1 0

---

MnV3Ni7: computed XRD peak list (Cu Kα X-rays), based on a crystal structure in Alexandria, relaxed with PBE.

Atomic structure:
```
data_MnV3Ni7
_cell_length_a 8.042
_cell_length_b 8.601
_cell_length_c 4.500
_cell_angle_alpha 90.00
_cell_angle_beta 116.15
_cell_angle_gamma 90.00
_symmetry_space_group_name_H-M 'C 1 2/m 1'
_symmetry_Int_Tables_number 12
loop_
_symmetry_equiv_pos_as_xyz
'x,y,z'
'-x,-y,-z'
'-x,y,-z'
'x,-y,z'
'x+1/2,y+1/2,z'
'-x+1/2,-y+1/2,-z'
'-x+1/2,y+1/2,-z'
'x+1/2,-y+1/2,z'
loop_
_atom_site_label
_atom_site_type_symbol
_atom_site_fract_x
_atom_site_fract_y
_atom_site_fract_z
Mn1 Mn 0.000 0.000 0.000
V1 V 0.000 0.267 0.500
V2 V 0.000 0.500 0.000
Ni1 Ni 0.000 0.000 0.500
Ni2 Ni 0.174 0.268 0.180
Ni3 Ni 0.180 0.500 0.587
```

Principal peaks in the range 10 to 90 degrees two-theta, in order of rising 2θ:
2theta, I/Imax, index
38.86, 290, 3 1 0
40.44, 933, 2 0 -2
42.02, 967, 0 4 0
45.59, 1000, 2 2 1
50.09, 647, 4 2 -1
59.74, 476, 2 4 -2

---

MnZn2Ni5: computed XRD peak list (Cu Kα X-rays), based on a crystal structure in Alexandria, relaxed with PBE.

Atomic structure:
```
data_MnZn2Ni5
_cell_length_a 3.708
_cell_length_b 3.708
_cell_length_c 13.655
_cell_angle_alpha 90.00
_cell_angle_beta 90.00
_cell_angle_gamma 90.00
_symmetry_space_group_name_H-M 'I 4/m m m'
_symmetry_Int_Tables_number 139
_symmetry_space_group_name_Hall '-I 4 2'
loop_
_atom_site_label
_atom_site_type_symbol
_atom_site_fract_x
_atom_site_fract_y
_atom_site_fract_z
Mn1 Mn 0.000 0.000 0.000
Zn1 Zn 0.000 0.000 0.250
Ni1 Ni 0.000 0.000 0.500
Ni2 Ni 0.000 0.500 0.124
```

Principal peaks in the range 10 to 90 degrees two-theta, in order of rising 2θ:
2theta, I/Imax, index
43.52, 1000, 1 1 4
49.14, 344, 2 0 0
53.70, 129, 0 0 8
72.04, 100, 2 2 0
75.75, 171, 2 0 8
88.08, 230, 3 1 4